Structure and calculated powder XRD pattern of Zn5AgPd (a structure optimized by DFT (GGA-PBE); a wavelength of 1.5418 Å).
Intensities are scaled so that the largest is 100.

Main lines, in order of rising 2θ (5 to 70 degrees two-theta):
d_spacing	I_rel
5.247	11
3.217	21
2.221	17
2.205	100
2.128	24
2.036	24
2.007	19
1.733	8
1.501	10
1.429	12

Cell and atoms:
a b c (Å): 6.686 6.686 6.686
angles (deg): 106.22 104.97 117.54
Fractional positions:
Zn (0.247, 0.000, 0.747)
Zn (0.247, 0.500, 0.247)
Zn (0.255, 0.292, 0.537)
Zn (0.255, 0.718, 0.963)
Zn (0.453, 0.203, 0.250)
Zn (0.547, 0.797, 0.750)
Zn (0.745, 0.282, 0.037)
Zn (0.745, 0.708, 0.463)
Zn (0.753, 0.000, 0.253)
Zn (0.753, 0.500, 0.753)
Ag (0.064, 0.814, 0.250)
Ag (0.936, 0.186, 0.750)
Pd (0.000, 0.500, 0.500)
Pd (0.500, 0.500, 0.000)

=====

Structure and calculated powder XRD pattern of Ho9In3N2 (a structure optimized by DFT (GGA-PBE); a wavelength of 1.5418 Å).
Intensities are scaled so that the largest is 100.

Main lines, in order of rising 2θ (5 to 70 degrees two-theta):
d_spacing	I_rel
4.814	3
3.404	1
2.779	100
2.407	53
2.153	1
1.965	1
1.702	37
1.605	1
1.451	41
1.390	12

Cell and atoms:
a b c (Å): 6.806 6.806 8.341
angles (deg): 90.00 90.00 120.00
Fractional positions:
Ho (0.000, 0.500, 0.000)
Ho (0.170, 0.340, 0.671)
Ho (0.170, 0.830, 0.671)
Ho (0.340, 0.170, 0.329)
Ho (0.500, 0.000, 0.000)
Ho (0.500, 0.500, 0.000)
Ho (0.660, 0.830, 0.671)
Ho (0.830, 0.170, 0.329)
Ho (0.830, 0.660, 0.329)
In (0.000, 0.000, 0.000)
In (0.333, 0.667, 0.334)
In (0.667, 0.333, 0.666)
N (0.333, 0.667, 0.835)
N (0.667, 0.333, 0.165)